[1]
This entry pairs a crystal structure of RbLi2ScCl6 with its computed powder diffraction line list. Radiation: Cu Kα (weighted mean of Kα1 and Kα2). Structure: a structure optimized by DFT (GGA-PBE).
Lines closer than 0.1° are merged.

Most intense lines, 2θ = 15–90°, by angle:
17.59 deg, I = 86.9
21.92 deg, I = 47.8
30.00 deg, I = 91.3
34.13 deg, I = 17.7
36.04 deg, I = 100.0
49.04 deg, I = 36.6
54.62 deg, I = 24.8
61.09 deg, I = 16.0
62.34 deg, I = 17.2
83.12 deg, I = 14.9

Crystal structure
Cell lengths 6.4341, 6.4359, 8.7097 Å; angles 89.99, 68.36, 60.01 degrees
Element x y z (fractional)
Rb (0.0000, 0.0000, 0.0000)
Li (0.3423, 0.8293, 0.4863)
Li (0.6577, 0.1707, 0.5137)
Sc (0.0000, 0.5000, 0.5000)
Cl (0.1184, 0.7633, 0.3214)
Cl (0.2033, 0.5594, 0.6788)
Cl (0.4413, 0.1187, 0.3212)
Cl (0.5587, 0.8813, 0.6788)
Cl (0.7967, 0.4406, 0.3212)
Cl (0.8816, 0.2367, 0.6786)


[2]
This entry pairs a crystal structure of TiFe7 with its computed powder diffraction line list. Radiation: Cu Kα (weighted mean of Kα1 and Kα2). Structure: a structure optimized by DFT (GGA-PBE).
Lines closer than 0.1° are merged.

Most intense lines, 2θ = 15–90°, by angle:
20.42 deg, I = 1.8
41.53 deg, I = 25.1
44.27 deg, I = 27.7
47.34 deg, I = 100.0
60.72 deg, I = 0.8
62.32 deg, I = 13.5
75.77 deg, I = 14.2
83.71 deg, I = 16.4

Crystal structure
Cell lengths 5.0216, 5.0216, 4.0916 Å; angles 90.00, 90.00, 120.00 degrees
Element x y z (fractional)
Ti (0.0000, 0.0000, 0.0000)
Fe (0.0010, 0.5005, 0.0000)
Fe (0.1757, 0.3514, 0.5000)
Fe (0.1757, 0.8243, 0.5000)
Fe (0.4995, 0.5005, 0.0000)
Fe (0.4995, 0.9990, 0.0000)
Fe (0.6486, 0.8243, 0.5000)
Fe (0.6667, 0.3333, 0.5000)


[3]
This entry pairs a crystal structure of CsCrSnSe4 with its computed powder diffraction line list. Radiation: Cu Kα (weighted mean of Kα1 and Kα2). Structure: a structure optimized by DFT (GGA-PBE).
Lines closer than 0.1° are merged.

Most intense lines, 2θ = 15–90°, by angle:
20.57 deg, I = 44.6
23.13 deg, I = 75.6
23.88 deg, I = 79.1
25.20 deg, I = 73.6
28.24 deg, I = 97.4
29.85 deg, I = 100.0
34.47 deg, I = 55.7
34.60 deg, I = 42.3
37.62 deg, I = 50.4
41.82 deg, I = 49.0

Crystal structure
Cell lengths 7.0647, 7.0676, 8.9696 Å; angles 90.00, 91.98, 90.00 degrees
Element x y z (fractional)
Cs (0.2354, 0.2500, 0.0705)
Cs (0.7646, 0.7500, 0.9295)
Cr (0.1464, 0.7500, 0.4628)
Cr (0.8536, 0.2500, 0.5372)
Sn (0.3642, 0.2500, 0.6366)
Sn (0.6358, 0.7500, 0.3634)
Se (0.0813, 0.0061, 0.6666)
Se (0.0813, 0.4939, 0.6666)
Se (0.3247, 0.7500, 0.2072)
Se (0.4651, 0.7500, 0.6055)
Se (0.5349, 0.2500, 0.3945)
Se (0.6753, 0.2500, 0.7928)
Se (0.9187, 0.5061, 0.3334)
Se (0.9187, 0.9939, 0.3334)


[4]
This entry pairs a crystal structure of TbSmAg6 with its computed powder diffraction line list. Radiation: Cu Kα (weighted mean of Kα1 and Kα2). Structure: a structure optimized by DFT (GGA-PBE).
Lines closer than 0.1° are merged.

Most intense lines, 2θ = 15–90°, by angle:
32.67 deg, I = 54.8
34.72 deg, I = 36.2
37.60 deg, I = 100.0
38.51 deg, I = 82.5
39.42 deg, I = 48.9
44.48 deg, I = 18.2
60.29 deg, I = 25.0
64.12 deg, I = 18.4
68.46 deg, I = 25.1
70.26 deg, I = 21.5

Crystal structure
Cell lengths 5.5595, 5.5595, 5.5595 Å; angles 96.36, 96.36, 96.36 degrees
Element x y z (fractional)
Tb (0.0000, 0.0000, 0.0000)
Sm (0.5000, 0.5000, 0.5000)
Ag (0.0338, 0.4652, 0.7518)
Ag (0.2482, 0.9662, 0.5348)
Ag (0.4652, 0.7518, 0.0338)
Ag (0.5348, 0.2482, 0.9662)
Ag (0.7518, 0.0338, 0.4652)
Ag (0.9662, 0.5348, 0.2482)


[5]
This entry pairs a crystal structure of CaPr5Nd8 with its computed powder diffraction line list. Radiation: Cu Kα (weighted mean of Kα1 and Kα2). Structure: a structure optimized by DFT (GGA-PBE).
Lines closer than 0.1° are merged.

Most intense lines, 2θ = 15–90°, by angle:
27.10 deg, I = 41.1
28.25 deg, I = 53.0
28.39 deg, I = 70.0
30.64 deg, I = 24.1
32.63 deg, I = 100.0
33.25 deg, I = 32.8
33.61 deg, I = 43.9
53.02 deg, I = 21.3
54.15 deg, I = 16.8
60.74 deg, I = 17.5

Crystal structure
Cell lengths 8.7625, 8.7625, 8.7625 Å; angles 110.88, 110.88, 106.69 degrees
Element x y z (fractional)
Ca (0.0000, 0.0000, 0.0000)
Pr (0.0335, 0.4312, 0.8177)
Pr (0.2500, 0.7500, 0.5000)
Pr (0.5688, 0.3865, 0.6023)
Pr (0.6135, 0.2159, 0.1823)
Pr (0.7841, 0.9665, 0.3977)
Nd (0.0909, 0.3294, 0.4101)
Nd (0.2784, 0.1760, 0.7519)
Nd (0.3192, 0.9091, 0.2384)
Nd (0.4241, 0.5265, 0.2481)
Nd (0.4735, 0.7216, 0.8976)
Nd (0.6706, 0.0808, 0.7616)
Nd (0.8240, 0.5759, 0.1024)
Nd (0.9192, 0.6808, 0.5899)


[6]
This entry pairs a crystal structure of SnIrPtSe with its computed powder diffraction line list. Radiation: Cu Kα (weighted mean of Kα1 and Kα2). Structure: a structure optimized by DFT (GGA-PBE).
Lines closer than 0.1° are merged.

Most intense lines, 2θ = 15–90°, by angle:
24.70 deg, I = 52.0
25.67 deg, I = 94.7
29.76 deg, I = 23.5
31.17 deg, I = 56.7
39.13 deg, I = 36.3
40.91 deg, I = 100.0
43.11 deg, I = 62.0
43.57 deg, I = 36.1
44.08 deg, I = 85.5
45.84 deg, I = 46.2

Crystal structure
Cell lengths 7.2501, 3.9590, 5.5099 Å; angles 90.00, 96.11, 90.00 degrees
Element x y z (fractional)
Sn (0.0000, 0.0000, 0.0000)
Sn (0.5000, 0.5000, 0.0000)
Ir (0.1479, 0.5000, 0.7426)
Ir (0.6479, 0.0000, 0.7426)
Pt (0.2004, 0.5000, 0.2541)
Pt (0.7004, 0.0000, 0.2541)
Se (0.3165, 0.0000, 0.5450)
Se (0.8165, 0.5000, 0.5450)


[7]
This entry pairs a crystal structure of Ac2CdSnIr with its computed powder diffraction line list. Radiation: Cu Kα (weighted mean of Kα1 and Kα2). Structure: a structure optimized by DFT (GGA-PBE).
Lines closer than 0.1° are merged.

Most intense lines, 2θ = 15–90°, by angle:
26.68 deg, I = 27.0
29.02 deg, I = 76.4
29.09 deg, I = 52.8
29.79 deg, I = 76.0
32.70 deg, I = 100.0
34.59 deg, I = 48.1
34.85 deg, I = 58.1
38.02 deg, I = 19.9
38.22 deg, I = 60.7
52.49 deg, I = 40.7

Crystal structure
Cell lengths 8.2127, 4.7092, 8.2612 Å; angles 90.00, 109.69, 90.00 degrees
Element x y z (fractional)
Ac (0.1156, 0.2500, 0.3339)
Ac (0.2855, 0.2500, 0.9516)
Ac (0.7145, 0.7500, 0.0484)
Ac (0.8844, 0.7500, 0.6661)
Cd (0.3384, 0.7500, 0.6499)
Cd (0.6616, 0.2500, 0.3501)
Sn (0.4229, 0.7500, 0.3049)
Sn (0.5771, 0.2500, 0.6951)
Ir (0.0936, 0.7500, 0.0687)
Ir (0.9064, 0.2500, 0.9313)


[8]
This entry pairs a crystal structure of Li3Se with its computed powder diffraction line list. Radiation: Cu Kα (weighted mean of Kα1 and Kα2). Structure: a structure optimized by DFT (GGA-PBE).
Lines closer than 0.1° are merged.

Most intense lines, 2θ = 15–90°, by angle:
23.69 deg, I = 100.0
27.43 deg, I = 51.8
39.18 deg, I = 63.9
46.30 deg, I = 48.3
48.49 deg, I = 14.0
62.22 deg, I = 19.7
64.02 deg, I = 18.0
71.00 deg, I = 21.6
76.04 deg, I = 14.7
89.05 deg, I = 15.5

Crystal structure
Cell lengths 6.5040, 6.5040, 6.5040 Å; angles 90.00, 90.00, 90.00 degrees
Element x y z (fractional)
Li (0.0000, 0.0000, 0.0000)
Li (0.0000, 0.5000, 0.5000)
Li (0.2500, 0.2500, 0.2500)
Li (0.2500, 0.2500, 0.7500)
Li (0.2500, 0.7500, 0.2500)
Li (0.2500, 0.7500, 0.7500)
Li (0.5000, 0.0000, 0.5000)
Li (0.5000, 0.5000, 0.0000)
Li (0.7500, 0.2500, 0.2500)
Li (0.7500, 0.2500, 0.7500)
Li (0.7500, 0.7500, 0.2500)
Li (0.7500, 0.7500, 0.7500)
Se (0.0000, 0.0000, 0.5000)
Se (0.0000, 0.5000, 0.0000)
Se (0.5000, 0.0000, 0.0000)
Se (0.5000, 0.5000, 0.5000)


[9]
This entry pairs a crystal structure of HoGa5Ni3 with its computed powder diffraction line list. Radiation: Cu Kα (weighted mean of Kα1 and Kα2). Structure: a structure optimized by DFT (GGA-PBE).
Lines closer than 0.1° are merged.

Most intense lines, 2θ = 15–90°, by angle:
29.13 deg, I = 25.0
31.72 deg, I = 51.8
32.53 deg, I = 27.3
32.64 deg, I = 100.0
35.01 deg, I = 92.3
36.50 deg, I = 29.3
38.12 deg, I = 56.5
43.48 deg, I = 56.1
46.84 deg, I = 94.0
55.52 deg, I = 29.3

Crystal structure
Cell lengths 6.4635, 6.4635, 12.2643 Å; angles 90.00, 90.00, 145.08 degrees
Element x y z (fractional)
Ho (0.1654, 0.8346, 0.7500)
Ho (0.8346, 0.1654, 0.2500)
Ga (0.0000, 0.0000, 0.0000)
Ga (0.0000, 0.0000, 0.5000)
Ga (0.2066, 0.7934, 0.0661)
Ga (0.2066, 0.7934, 0.4339)
Ga (0.4425, 0.5575, 0.6514)
Ga (0.4425, 0.5575, 0.8486)
Ga (0.5575, 0.4425, 0.1514)
Ga (0.5575, 0.4425, 0.3486)
Ga (0.7934, 0.2066, 0.5661)
Ga (0.7934, 0.2066, 0.9339)
Ni (0.1381, 0.8619, 0.2500)
Ni (0.3943, 0.6057, 0.0426)
Ni (0.3943, 0.6057, 0.4574)
Ni (0.6057, 0.3943, 0.5426)
Ni (0.6057, 0.3943, 0.9574)
Ni (0.8619, 0.1381, 0.7500)


[10]
This entry pairs a crystal structure of Pm2PrRh2 with its computed powder diffraction line list. Radiation: Cu Kα (weighted mean of Kα1 and Kα2). Structure: a structure optimized by DFT (GGA-PBE).
Lines closer than 0.1° are merged.

Most intense lines, 2θ = 15–90°, by angle:
27.16 deg, I = 22.2
31.19 deg, I = 100.0
33.05 deg, I = 23.4
37.67 deg, I = 59.9
37.75 deg, I = 42.4
42.36 deg, I = 13.7
46.52 deg, I = 20.5
50.94 deg, I = 16.0
54.35 deg, I = 16.2
61.32 deg, I = 17.5

Crystal structure
Cell lengths 13.6901, 13.6901, 4.7797 Å; angles 90.00, 90.00, 163.60 degrees
Element x y z (fractional)
Pm (0.0510, 0.9490, 0.7500)
Pm (0.2671, 0.7329, 0.2500)
Pm (0.7329, 0.2671, 0.7500)
Pm (0.9490, 0.0510, 0.2500)
Pr (0.3652, 0.6348, 0.7500)
Pr (0.6348, 0.3652, 0.2500)
Rh (0.1598, 0.8402, 0.7500)
Rh (0.4675, 0.5325, 0.7500)
Rh (0.5325, 0.4675, 0.2500)
Rh (0.8402, 0.1598, 0.2500)


[11]
This entry pairs a crystal structure of Cu2TeSe with its computed powder diffraction line list. Radiation: Cu Kα (weighted mean of Kα1 and Kα2). Structure: a structure optimized by DFT (GGA-PBE).
Lines closer than 0.1° are merged.

Most intense lines, 2θ = 15–90°, by angle:
26.76 deg, I = 30.8
27.30 deg, I = 100.0
44.72 deg, I = 29.8
44.83 deg, I = 14.7
45.33 deg, I = 15.5
45.49 deg, I = 30.6
52.98 deg, I = 10.1
53.49 deg, I = 8.6
53.60 deg, I = 13.0
83.49 deg, I = 6.8

Crystal structure
Cell lengths 3.9863, 3.9893, 7.0429 Å; angles 73.80, 73.60, 60.22 degrees
Element x y z (fractional)
Cu (0.0000, 0.0000, 0.0000)
Cu (0.4809, 0.4884, 0.5485)
Te (0.8695, 0.8748, 0.3870)
Se (0.3666, 0.3666, 0.9021)


[12]
This entry pairs a crystal structure of RbDy3Ag2Se6 with its computed powder diffraction line list. Radiation: Cu Kα (weighted mean of Kα1 and Kα2). Structure: a structure optimized by DFT (GGA-PBE).
Lines closer than 0.1° are merged.

Most intense lines, 2θ = 15–90°, by angle:
25.06 deg, I = 20.1
27.72 deg, I = 40.2
29.07 deg, I = 100.0
34.39 deg, I = 32.8
36.56 deg, I = 42.2
37.74 deg, I = 20.7
42.48 deg, I = 29.5
43.30 deg, I = 52.0
43.95 deg, I = 25.3
55.75 deg, I = 18.9

Crystal structure
Cell lengths 10.7100, 10.7100, 9.0390 Å; angles 112.63, 112.63, 22.92 degrees
Element x y z (fractional)
Rb (0.0000, 0.0000, 0.0000)
Dy (0.0000, 0.0000, 0.5000)
Dy (0.3350, 0.3350, 0.1909)
Dy (0.6650, 0.6650, 0.8091)
Ag (0.2779, 0.2779, 0.7699)
Ag (0.7221, 0.7221, 0.2301)
Se (0.1476, 0.1476, 0.5809)
Se (0.1776, 0.1776, 0.0513)
Se (0.4783, 0.4783, 0.2717)
Se (0.5217, 0.5217, 0.7283)
Se (0.8224, 0.8224, 0.9487)
Se (0.8524, 0.8524, 0.4191)